Record 1
Computed XRD peak list of Sc5Re2C7 for copper Kα, from a GGA-PBE-relaxed structure.
Peak positions follow from Bragg's law for the DFT cell and can differ from measured ones.

Cell and atoms:
Lattice parameters (Å, degrees): 7.812 13.717 3.219 90.00 90.00 90.00
Space group Cmmm (No. 65)
Asymmetric unit:
Sc1 0.000 0.000 0.000
Sc2 0.211 0.372 0.500
Re1 0.000 0.215 0.000
C1 0.000 0.119 0.500
C2 0.000 0.500 0.000
C3 0.173 0.500 0.000
C4 0.250 0.250 0.000

Principal peaks in the range 2θ from 10° to 90°, by angle:
- 2θ = 12.9°, d 6.859, intensity 100.0, hkl 0 2 0
- 2θ = 26.3°, d 3.394, intensity 34.3, hkl 2 2 0
- 2θ = 30.7°, d 2.913, intensity 35.4, hkl 0 2 1
- 2θ = 34.8°, d 2.577, intensity 39.2, hkl 2 4 0
- 2θ = 36.2°, d 2.484, intensity 62.7, hkl 2 0 1
- 2θ = 38.4°, d 2.347, intensity 53.9, hkl 0 4 1


Record 2
Computed XRD peak list of Sm2Re2Si2C for copper Kα, from a GGA-PBE-relaxed structure.
Peak positions follow from Bragg's law for the DFT cell and can differ from measured ones.

Cell and atoms:
Lattice parameters (Å, degrees): 11.074 4.032 7.093 90.00 127.66 90.00
Space group C2/m (No. 12)
Asymmetric unit:
Sm1 0.072 0.000 0.303
Re1 0.205 0.500 0.089
Si1 0.145 0.500 0.690
C1 0.000 0.500 0.000

Principal peaks in the range 2θ from 10° to 90°, by angle:
- 2θ = 15.8°, d 5.615, intensity 28.8, hkl 0 0 1
- 2θ = 32.7°, d 2.738, intensity 41.1, hkl 2 0 1
- 2θ = 33.0°, d 2.712, intensity 100.0, hkl 3 1 -1
- 2θ = 35.0°, d 2.567, intensity 91.6, hkl 1 1 -2
- 2θ = 39.9°, d 2.260, intensity 26.5, hkl 4 0 -3
- 2θ = 45.0°, d 2.016, intensity 27.1, hkl 0 2 0


Record 3
Computed XRD peak list of TbRe2SiC for copper Kα, from a GGA-PBE-relaxed structure.
Peak positions follow from Bragg's law for the DFT cell and can differ from measured ones.

Cell and atoms:
Lattice parameters (Å, degrees): 3.960 10.897 7.315 90.00 90.00 90.00
Space group Cmcm (No. 63)
Asymmetric unit:
Tb1 0.000 0.043 0.250
Re1 0.000 0.325 0.060
Si1 0.000 0.235 0.750
C1 0.000 0.500 0.000

Principal peaks in the range 2θ from 10° to 90°, by angle:
- 2θ = 29.4°, d 3.037, intensity 42.9, hkl 0 2 2
- 2θ = 33.5°, d 2.677, intensity 100.0, hkl 1 3 0
- 2θ = 34.4°, d 2.609, intensity 74.6, hkl 1 1 2
- 2θ = 35.2°, d 2.553, intensity 33.0, hkl 0 4 1
- 2θ = 40.5°, d 2.226, intensity 34.6, hkl 0 2 3
- 2θ = 44.4°, d 2.040, intensity 35.9, hkl 1 1 3


Record 4
Computed XRD peak list of YRe2SiC for copper Kα, from a GGA-PBE-relaxed structure.
Peak positions follow from Bragg's law for the DFT cell and can differ from measured ones.

Cell and atoms:
Lattice parameters (Å, degrees): 3.959 10.919 7.317 90.00 90.00 90.00
Space group Cmcm (No. 63)
Asymmetric unit:
Y1 0.000 0.044 0.250
Re1 0.000 0.326 0.061
Si1 0.000 0.234 0.750
C1 0.000 0.500 0.000

Principal peaks in the range 2θ from 10° to 90°, by angle:
- 2θ = 16.2°, d 5.460, intensity 38.6, hkl 0 2 0
- 2θ = 33.4°, d 2.680, intensity 100.0, hkl 1 3 0
- 2θ = 34.4°, d 2.609, intensity 56.0, hkl 1 1 2
- 2θ = 40.5°, d 2.227, intensity 35.7, hkl 0 2 3
- 2θ = 44.4°, d 2.040, intensity 50.3, hkl 1 1 3
- 2θ = 45.8°, d 1.980, intensity 31.0, hkl 2 0 0


Record 5
Computed XRD peak list of Tb12Re5C15 for copper Kα, from a GGA-PBE-relaxed structure.
Peak positions follow from Bragg's law for the DFT cell and can differ from measured ones.

Cell and atoms:
Lattice parameters (Å, degrees): 10.7725 10.7725 5.1367 90.00 90.00 120.00
Space group P-62m (No. 189)
Asymmetric unit:
Tb1 0.0000 0.2049 0.0000
Tb2 0.0000 0.5744 0.0000
Tb3 0.1860 0.4560 0.5000
Re1 0.0000 0.8483 0.5000
Re2 0.3333 0.6667 0.0000
C1 0.0000 0.2146 0.5000
C2 0.0000 0.5416 0.5000
C3 0.0000 0.6671 0.5000
C4 0.1907 0.4683 0.0000

Principal peaks in the range 2θ from 10° to 90°, by angle:
- 2θ = 30.8°, d 2.907, intensity 100.0, hkl 2 1 1
- 2θ = 33.7°, d 2.660, intensity 22.6, hkl 3 0 1
- 2θ = 34.7°, d 2.587, intensity 40.7, hkl 3 1 0
- 2θ = 34.9°, d 2.568, intensity 37.2, hkl 0 0 2
- 2θ = 50.0°, d 1.823, intensity 28.8, hkl 3 1 2
- 2θ = 60.1°, d 1.540, intensity 15.6, hkl 2 1 3


Record 6
Computed XRD peak list of Tm5Re2C7 for copper Kα, from a GGA-PBE-relaxed structure.
Peak positions follow from Bragg's law for the DFT cell and can differ from measured ones.

Cell and atoms:
Lattice parameters (Å, degrees): 7.960 14.372 3.379 90.00 90.00 90.00
Space group Cmmm (No. 65)
Asymmetric unit:
Tm1 0.000 0.000 0.000
Tm2 0.207 0.371 0.500
Re1 0.000 0.215 0.000
C1 0.000 0.124 0.500
C2 0.000 0.500 0.000
C3 0.171 0.500 0.000
C4 0.250 0.250 0.000

Principal peaks in the range 2θ from 10° to 90°, by angle:
- 2θ = 33.1°, d 2.704, intensity 32.3, hkl 1 5 0
- 2θ = 33.6°, d 2.667, intensity 82.3, hkl 2 4 0
- 2θ = 34.4°, d 2.609, intensity 41.4, hkl 3 1 0
- 2θ = 34.8°, d 2.576, intensity 99.0, hkl 2 0 1
- 2θ = 36.5°, d 2.461, intensity 100.0, hkl 0 4 1
- 2θ = 54.3°, d 1.689, intensity 52.8, hkl 0 0 2


Record 7
Computed XRD peak list of UReC2 for copper Kα, from a GGA-PBE-relaxed structure.
Peak positions follow from Bragg's law for the DFT cell and can differ from measured ones.

Cell and atoms:
Lattice parameters (Å, degrees): 5.598 3.198 11.009 90.00 90.00 90.00
Space group Pnma (No. 62)
Asymmetric unit:
U1 0.083 0.250 0.141
Re1 0.081 0.750 0.396
C1 0.160 0.250 0.756
C2 0.244 0.250 0.493

Principal peaks in the range 2θ from 10° to 90°, by angle:
- 2θ = 32.5°, d 2.752, intensity 32.7, hkl 0 0 4
- 2θ = 33.0°, d 2.713, intensity 29.8, hkl 2 0 1
- 2θ = 33.3°, d 2.692, intensity 18.0, hkl 1 1 1
- 2θ = 36.2°, d 2.479, intensity 100.0, hkl 1 1 2
- 2θ = 40.5°, d 2.225, intensity 18.1, hkl 2 0 3
- 2θ = 57.8°, d 1.595, intensity 19.5, hkl 3 1 1


Record 8
Computed XRD peak list of Y12Re5C15 for copper Kα, from a GGA-PBE-relaxed structure.
Peak positions follow from Bragg's law for the DFT cell and can differ from measured ones.

Cell and atoms:
Lattice parameters (Å, degrees): 10.7701 10.7701 5.1172 90.00 90.00 120.00
Space group P-62m (No. 189)
Asymmetric unit:
Y1 0.0000 0.4244 0.0000
Y2 0.0000 0.7940 0.0000
Y3 0.1854 0.7292 0.5000
Re1 0.0000 0.1525 0.5000
Re2 0.3333 0.6667 0.0000
C1 0.0000 0.3328 0.5000
C2 0.0000 0.4587 0.5000
C3 0.0000 0.7858 0.5000
C4 0.1873 0.7180 0.0000

Principal peaks in the range 2θ from 10° to 90°, by angle:
- 2θ = 19.8°, d 4.486, intensity 41.0, hkl 1 0 1
- 2θ = 30.8°, d 2.903, intensity 100.0, hkl 2 1 1
- 2θ = 33.7°, d 2.657, intensity 36.0, hkl 3 0 1
- 2θ = 34.7°, d 2.587, intensity 56.7, hkl 3 1 0
- 2θ = 35.1°, d 2.559, intensity 47.4, hkl 0 0 2
- 2θ = 50.1°, d 1.819, intensity 39.1, hkl 3 1 2


Record 9
Computed XRD peak list of Y12Re5C6 for copper Kα, from a GGA-PBE-relaxed structure.
Peak positions follow from Bragg's law for the DFT cell and can differ from measured ones.

Cell and atoms:
Lattice parameters (Å, degrees): 10.5064 10.5064 5.0150 90.00 90.00 120.00
Space group P-62m (No. 189)
Asymmetric unit:
Y1 0.0000 0.4277 0.0000
Y2 0.0000 0.8017 0.0000
Y3 0.1927 0.7472 0.5000
Re1 0.0000 0.1352 0.5000
Re2 0.3333 0.6667 0.0000
C1 0.1861 0.7255 0.0000

Principal peaks in the range 2θ from 10° to 90°, by angle:
- 2θ = 16.9°, d 5.253, intensity 36.7, hkl 1 1 0
- 2θ = 20.2°, d 4.392, intensity 44.1, hkl 1 0 1
- 2θ = 31.5°, d 2.836, intensity 100.0, hkl 2 1 1
- 2θ = 35.6°, d 2.524, intensity 47.7, hkl 3 1 0
- 2θ = 35.8°, d 2.508, intensity 39.5, hkl 0 0 2
- 2θ = 51.4°, d 1.779, intensity 32.9, hkl 3 1 2


Record 10
Computed XRD peak list of RhC for copper Kα, from a GGA-PBE-relaxed structure.
Peak positions follow from Bragg's law for the DFT cell and can differ from measured ones.

Cell and atoms:
Lattice parameters (Å, degrees): 4.356 4.356 4.356 90.00 90.00 90.00
Space group Fm-3m (No. 225)
Asymmetric unit:
Rh1 0.000 0.000 0.000
C1 0.000 0.000 0.500

Principal peaks in the range 2θ from 10° to 90°, by angle:
- 2θ = 35.7°, d 2.515, intensity 100.0, hkl 1 1 1
- 2θ = 41.5°, d 2.178, intensity 72.4, hkl 2 0 0
- 2θ = 60.1°, d 1.540, intensity 46.1, hkl 2 2 0
- 2θ = 71.9°, d 1.313, intensity 39.4, hkl 3 1 1
- 2θ = 75.6°, d 1.257, intensity 15.2, hkl 2 2 2


Record 11
Computed XRD peak list of RhC for copper Kα, from a GGA-PBE-relaxed structure.
Peak positions follow from Bragg's law for the DFT cell and can differ from measured ones.

Cell and atoms:
Lattice parameters (Å, degrees): 4.601 4.601 4.601 90.00 90.00 90.00
Space group F-43m (No. 216)
Asymmetric unit:
Rh1 0.000 0.000 0.000
C1 0.250 0.250 0.250

Principal peaks in the range 2θ from 10° to 90°, by angle:
- 2θ = 33.7°, d 2.657, intensity 100.0, hkl 1 1 1
- 2θ = 39.2°, d 2.301, intensity 40.1, hkl 2 0 0
- 2θ = 56.6°, d 1.627, intensity 38.3, hkl 2 2 0
- 2θ = 67.5°, d 1.387, intensity 38.2, hkl 3 1 1
- 2θ = 71.0°, d 1.328, intensity 9.4, hkl 2 2 2
- 2θ = 84.2°, d 1.150, intensity 6.0, hkl 4 0 0


Record 12
Computed XRD peak list of Sc3RhC4 for copper Kα, from a GGA-PBE-relaxed structure.
Peak positions follow from Bragg's law for the DFT cell and can differ from measured ones.

Cell and atoms:
Lattice parameters (Å, degrees): 5.629 12.322 5.629 90.00 105.72 90.00
Space group C2/m (No. 12)
Asymmetric unit:
Sc1 0.000 0.188 0.000
Sc2 0.000 0.310 0.500
Sc3 0.241 0.000 0.760
Rh1 0.231 0.500 0.731
C1 0.078 0.129 0.418
C2 0.082 0.371 0.922

Principal peaks in the range 2θ from 10° to 90°, by angle:
- 2θ = 14.4°, d 6.161, intensity 37.2, hkl 0 2 0
- 2θ = 21.1°, d 4.216, intensity 26.1, hkl 1 1 -1
- 2θ = 36.2°, d 2.480, intensity 100.0, hkl 2 2 0
- 2θ = 40.2°, d 2.243, intensity 20.1, hkl 2 0 -2
- 2θ = 41.8°, d 2.160, intensity 19.5, hkl 1 5 -1
- 2θ = 44.5°, d 2.034, intensity 32.5, hkl 2 4 0